1.
This entry pairs a crystal structure of Mg14ZnNi with its calculated X-ray diffraction stick pattern. Radiation: λ = 1.5418 Å (Cu Kα). Structure: a PBE-relaxed structure.
Intensities are scaled so that the largest is 100.

Cell and atoms:
a b c (Å): 9.7703 6.3384 10.8632
angles (deg): 90.00 90.00 90.00
Space group Amm2 (No. 38)
Unique sites:
Mg  0.0000  0.0000  0.0000 [2 per cell]
Mg  0.0000  0.0000  0.4996 [2 per cell]
Mg  0.0000  0.2482  0.2552 [4 per cell]
Mg  0.2481  0.0000  0.6698 [4 per cell]
Mg  0.2553  0.0000  0.1663 [4 per cell]
Mg  0.2794  0.2436  0.9260 [8 per cell]
Mg  0.5000  0.2484  0.2311 [4 per cell]
Zn  0.5000  0.0000  0.5086 [2 per cell]
Ni  0.5000  0.0000  0.0149 [2 per cell]

The 10 most intense peaks (2θ from 10° to 80°), sorted by position:
hkl 1 0 2, d = 4.747 Å, 18.7 deg, I 16; hkl 0 2 2, d = 2.737 Å, 32.7 deg, I 26; hkl 0 0 4, d = 2.716 Å, 33.0 deg, I 14; hkl 4 0 0, d = 2.443 Å, 36.8 deg, I 32; hkl 2 2 2, d = 2.388 Å, 37.7 deg, I 100; hkl 2 0 4, d = 2.374 Å, 37.9 deg, I 45; hkl 4 2 2, d = 1.823 Å, 50.0 deg, I 15; hkl 0 2 6, d = 1.572 Å, 58.7 deg, I 16; hkl 6 2 2, d = 1.399 Å, 66.9 deg, I 14; hkl 4 2 6, d = 1.322 Å, 71.3 deg, I 15

2.
This entry pairs a crystal structure of TmB2Ir3 with its calculated X-ray diffraction stick pattern. Radiation: λ = 1.5418 Å (Cu Kα). Structure: a PBE-relaxed structure.
Intensities are scaled so that the largest is 100.

Cell and atoms:
a b c (Å): 5.4604 5.4604 3.1379
angles (deg): 90.00 90.00 120.00
Space group P6/mmm (No. 191)
Unique sites:
Tm  0.0000  0.0000  0.0000 [1 per cell]
B  0.3333  0.6667  0.0000 [2 per cell]
Ir  0.0000  0.5000  0.5000 [3 per cell]

The 10 most intense peaks (2θ from 10° to 80°), sorted by position:
hkl 0 0 1, d = 3.138 Å, 28.4 deg, I 20; hkl 1 0 1, d = 2.615 Å, 34.3 deg, I 61; hkl 2 0 0, d = 2.364 Å, 38.1 deg, I 100; hkl 1 1 1, d = 2.060 Å, 44.0 deg, I 35; hkl 2 0 1, d = 1.888 Å, 48.2 deg, I 32; hkl 2 1 1, d = 1.553 Å, 59.5 deg, I 26; hkl 3 0 1, d = 1.409 Å, 66.4 deg, I 10; hkl 2 2 0, d = 1.365 Å, 68.8 deg, I 19; hkl 2 0 2, d = 1.307 Å, 72.3 deg, I 31; hkl 3 1 1, d = 1.210 Å, 79.1 deg, I 11

3.
This entry pairs a crystal structure of RbH3S2O8 with its calculated X-ray diffraction stick pattern. Radiation: λ = 1.5418 Å (Cu Kα). Structure: a PBE-relaxed structure.
Intensities are scaled so that the largest is 100.

Cell and atoms:
a b c (Å): 7.5136 12.6498 8.0098
angles (deg): 90.00 92.17 90.00
Space group P2_1/c (No. 14)
Unique sites:
Rb  0.2152  0.0667  0.1575 [4 per cell]
H  0.1186  0.7463  0.6198 [4 per cell]
H  0.3308  0.5440  0.1089 [4 per cell]
H  0.4870  0.6604  0.7727 [4 per cell]
S  0.2383  0.1111  0.6677 [4 per cell]
S  0.2657  0.6946  0.3358 [4 per cell]
O  0.0982  0.0729  0.7699 [4 per cell]
O  0.0988  0.6991  0.2094 [4 per cell]
O  0.1921  0.6526  0.4893 [4 per cell]
O  0.2072  0.2030  0.5645 [4 per cell]
O  0.2960  0.0218  0.5420 [4 per cell]
O  0.3326  0.6963  0.8584 [4 per cell]
O  0.3978  0.6244  0.2628 [4 per cell]
O  0.4043  0.1263  0.7883 [4 per cell]

The 10 most intense peaks (2θ from 10° to 80°), sorted by position:
hkl 0 0 2, d = 4.002 Å, 22.2 deg, I 27; hkl 0 1 2, d = 3.816 Å, 23.3 deg, I 50; hkl 2 0 0, d = 3.754 Å, 23.7 deg, I 80; hkl 1 3 0, d = 3.677 Å, 24.2 deg, I 100; hkl 1 3 -1, d = 3.365 Å, 26.5 deg, I 27; hkl 1 2 2, d = 3.047 Å, 29.3 deg, I 30; hkl 1 3 -2, d = 2.729 Å, 32.8 deg, I 44; hkl 2 1 2, d = 2.629 Å, 34.1 deg, I 25; hkl 3 1 -1, d = 2.372 Å, 37.9 deg, I 19; hkl 3 2 2, d = 1.982 Å, 45.8 deg, I 21

4.
This entry pairs a crystal structure of HfCu3 with its calculated X-ray diffraction stick pattern. Radiation: λ = 1.5418 Å (Cu Kα). Structure: a PBE-relaxed structure.
Intensities are scaled so that the largest is 100.

Cell and atoms:
a b c (Å): 6.1045 6.1045 6.1045
angles (deg): 90.00 90.00 90.00
Space group Fm-3m (No. 225)
Unique sites:
Hf  0.0000  0.0000  0.0000 [4 per cell]
Cu  0.0000  0.0000  0.5000 [4 per cell]
Cu  0.2500  0.2500  0.2500 [8 per cell]

The 9 most intense peaks (2θ from 10° to 80°), sorted by position:
hkl 1 1 1, d = 3.524 Å, 25.3 deg, I 19; hkl 2 0 0, d = 3.052 Å, 29.3 deg, I 10; hkl 2 2 0, d = 2.158 Å, 41.9 deg, I 100; hkl 3 1 1, d = 1.841 Å, 49.5 deg, I 10; hkl 2 2 2, d = 1.762 Å, 51.9 deg, I 3; hkl 4 0 0, d = 1.526 Å, 60.7 deg, I 16; hkl 3 3 1, d = 1.400 Å, 66.8 deg, I 4; hkl 4 2 0, d = 1.365 Å, 68.8 deg, I 4; hkl 4 2 2, d = 1.246 Å, 76.4 deg, I 32

> What is the formula in the fourth record?

HfCu3

Copy entry 2 word for word.
This entry pairs a crystal structure of TmB2Ir3 with its calculated X-ray diffraction stick pattern. Radiation: λ = 1.5418 Å (Cu Kα). Structure: a PBE-relaxed structure.
Intensities are scaled so that the largest is 100.

Cell and atoms:
a b c (Å): 5.4604 5.4604 3.1379
angles (deg): 90.00 90.00 120.00
Space group P6/mmm (No. 191)
Unique sites:
Tm  0.0000  0.0000  0.0000 [1 per cell]
B  0.3333  0.6667  0.0000 [2 per cell]
Ir  0.0000  0.5000  0.5000 [3 per cell]

The 10 most intense peaks (2θ from 10° to 80°), sorted by position:
hkl 0 0 1, d = 3.138 Å, 28.4 deg, I 20; hkl 1 0 1, d = 2.615 Å, 34.3 deg, I 61; hkl 2 0 0, d = 2.364 Å, 38.1 deg, I 100; hkl 1 1 1, d = 2.060 Å, 44.0 deg, I 35; hkl 2 0 1, d = 1.888 Å, 48.2 deg, I 32; hkl 2 1 1, d = 1.553 Å, 59.5 deg, I 26; hkl 3 0 1, d = 1.409 Å, 66.4 deg, I 10; hkl 2 2 0, d = 1.365 Å, 68.8 deg, I 19; hkl 2 0 2, d = 1.307 Å, 72.3 deg, I 31; hkl 3 1 1, d = 1.210 Å, 79.1 deg, I 11